Entry 1:
This entry pairs a crystal structure of Pu3Ge2Pd5 with its calculated X-ray powder pattern. Radiation: Cu Kα (weighted mean of Kα1 and Kα2). Structure: a GGA-PBE-relaxed structure.

Structure:
a = 8.9110 Å, b = 8.9110 Å, c = 8.9110 Å
α = 97.64°, β = 94.07°, γ = 142.76°
Element x y z (fractional)
Pu 0.2169 0.6087 0.8256
Pu 0.2500 0.2500 0.0000
Pu 0.2831 0.1087 0.3918
Pu 0.7169 0.8913 0.6082
Pu 0.7500 0.7500 0.0000
Pu 0.7831 0.3913 0.1744
Ge 0.1544 0.8573 0.0117
Ge 0.3456 0.3573 0.7029
Ge 0.6544 0.6427 0.2971
Ge 0.8456 0.1427 0.9883
Pd 0.1473 0.3657 0.5131
Pd 0.2500 0.0077 0.7577
Pd 0.2500 0.4923 0.2423
Pd 0.2500 0.7500 0.5000
Pd 0.3527 0.8657 0.2184
Pd 0.6473 0.1343 0.7816
Pd 0.7500 0.2500 0.5000
Pd 0.7500 0.5077 0.7577
Pd 0.7500 0.9923 0.2423
Pd 0.8527 0.6343 0.4869

Principal peaks in the range 5° ≤ 2θ ≤ 70°, in order of rising 2θ:
2θ = 23.2°, I = 34.4
2θ = 29.4°, I = 21.3
2θ = 31.1°, I = 51.4
2θ = 33.2°, I = 16.3
2θ = 33.9°, I = 98.2
2θ = 34.8°, I = 100.0
2θ = 43.3°, I = 31.5
2θ = 44.4°, I = 74.7
2θ = 53.4°, I = 14.9
2θ = 54.1°, I = 15.4
2θ = 55.8°, I = 13.9
2θ = 65.6°, I = 18.3

Entry 2:
This entry pairs a crystal structure of PuGePd6 with its calculated X-ray powder pattern. Radiation: Cu Kα (weighted mean of Kα1 and Kα2). Structure: a GGA-PBE-relaxed structure.

Structure:
a = 7.0234 Å, b = 7.0234 Å, c = 7.0234 Å
α = 46.26°, β = 46.26°, γ = 46.26°
Element x y z (fractional)
Pu 0.0000 0.0000 0.0000
Ge 0.5000 0.5000 0.5000
Pd 0.0629 0.5763 0.5763
Pd 0.4237 0.4237 0.9371
Pd 0.4237 0.9371 0.4237
Pd 0.5763 0.0629 0.5763
Pd 0.5763 0.5763 0.0629
Pd 0.9371 0.4237 0.4237

Principal peaks in the range 5° ≤ 2θ ≤ 70°, in order of rising 2θ:
2θ = 14.1°, I = 58.9
2θ = 20.9°, I = 19.1
2θ = 26.6°, I = 67.7
2θ = 30.3°, I = 25.4
2θ = 38.0°, I = 100.0
2θ = 38.5°, I = 24.7
2θ = 38.9°, I = 85.9
2θ = 42.9°, I = 34.1
2θ = 43.7°, I = 62.4
2θ = 51.2°, I = 17.7
2θ = 65.8°, I = 18.8
2θ = 68.0°, I = 29.4

Entry 3:
This entry pairs a crystal structure of Pu2Ge3Pd5 with its calculated X-ray powder pattern. Radiation: Cu Kα (weighted mean of Kα1 and Kα2). Structure: a GGA-PBE-relaxed structure.

Structure:
a = 12.3003 Å, b = 12.3003 Å, c = 6.8484 Å
α = 90.00°, β = 90.00°, γ = 159.48°
Element x y z (fractional)
Pu 0.0161 0.9839 0.5000
Pu 0.3280 0.6720 0.4798
Pu 0.6720 0.3280 0.9798
Pu 0.9839 0.0161 0.0000
Ge 0.1055 0.8945 0.8019
Ge 0.2768 0.7232 0.9078
Ge 0.4437 0.5563 0.6984
Ge 0.5563 0.4437 0.1984
Ge 0.7232 0.2768 0.4078
Ge 0.8945 0.1055 0.3019
Pd 0.1114 0.8886 0.2215
Pd 0.1983 0.8017 0.6265
Pd 0.2283 0.7717 0.2238
Pd 0.3769 0.6231 0.9969
Pd 0.4513 0.5487 0.3067
Pd 0.5487 0.4513 0.8067
Pd 0.6231 0.3769 0.4969
Pd 0.7717 0.2283 0.7238
Pd 0.8017 0.1983 0.1265
Pd 0.8886 0.1114 0.7215

Principal peaks in the range 5° ≤ 2θ ≤ 70°, in order of rising 2θ:
2θ = 23.1°, I = 14.4
2θ = 34.4°, I = 33.6
2θ = 35.1°, I = 100.0
2θ = 35.6°, I = 67.6
2θ = 39.3°, I = 30.4
2θ = 39.5°, I = 22.0
2θ = 41.2°, I = 42.9
2θ = 42.3°, I = 17.2
2θ = 54.7°, I = 18.8
2θ = 55.3°, I = 19.1
2θ = 58.4°, I = 14.3
2θ = 68.4°, I = 20.7

Entry 4:
This entry pairs a crystal structure of TbPuGe2Pd2 with its calculated X-ray powder pattern. Radiation: Cu Kα (weighted mean of Kα1 and Kα2). Structure: a GGA-PBE-relaxed structure.

Structure:
a = 4.4237 Å, b = 4.4237 Å, c = 7.2283 Å
α = 90.00°, β = 90.00°, γ = 120.00°
Element x y z (fractional)
Tb 0.0000 0.0000 0.0000
Pu 0.0000 0.0000 0.5000
Ge 0.3333 0.6667 0.7448
Ge 0.6667 0.3333 0.2552
Pd 0.3333 0.6667 0.2337
Pd 0.6667 0.3333 0.7663

Principal peaks in the range 5° ≤ 2θ ≤ 70°, in order of rising 2θ:
2θ = 12.2°, I = 1.7
2θ = 23.2°, I = 16.6
2θ = 26.3°, I = 6.0
2θ = 34.1°, I = 100.0
2θ = 40.8°, I = 53.4
2θ = 47.5°, I = 2.7
2θ = 50.5°, I = 9.1
2θ = 54.2°, I = 26.9
2θ = 56.3°, I = 4.2
2θ = 64.3°, I = 2.3
2θ = 66.9°, I = 23.5
2θ = 70.0°, I = 25.1

Entry 5:
This entry pairs a crystal structure of Pu2Th2Ge4Pd with its calculated X-ray powder pattern. Radiation: Cu Kα (weighted mean of Kα1 and Kα2). Structure: a GGA-PBE-relaxed structure.

Structure:
a = 6.5565 Å, b = 6.5565 Å, c = 6.5565 Å
α = 114.48°, β = 114.48°, γ = 99.87°
Element x y z (fractional)
Pu 0.1725 0.1725 0.0000
Pu 0.8275 0.8275 0.0000
Th 0.2500 0.7500 0.5000
Th 0.7500 0.2500 0.5000
Ge 0.2541 0.2541 0.5083
Ge 0.2541 0.7459 0.0000
Ge 0.7459 0.2541 0.0000
Ge 0.7459 0.7459 0.4917
Pd 0.5000 0.5000 0.0000

Principal peaks in the range 5° ≤ 2θ ≤ 70°, in order of rising 2θ:
2θ = 25.1°, I = 62.8
2θ = 27.6°, I = 16.6
2θ = 33.0°, I = 100.0
2θ = 34.3°, I = 37.4
2θ = 35.8°, I = 86.7
2θ = 43.0°, I = 38.4
2θ = 51.5°, I = 31.1
2θ = 57.1°, I = 30.8
2θ = 58.1°, I = 13.4
2θ = 62.5°, I = 32.5
2θ = 63.3°, I = 13.1
2θ = 69.4°, I = 15.3

Entry 6:
This entry pairs a crystal structure of Pu3ZnGe6Pd2 with its calculated X-ray powder pattern. Radiation: Cu Kα (weighted mean of Kα1 and Kα2). Structure: a GGA-PBE-relaxed structure.

Structure:
a = 5.7475 Å, b = 5.7475 Å, c = 8.4850 Å
α = 90.00°, β = 90.00°, γ = 120.00°
Element x y z (fractional)
Pu 0.0000 0.0000 0.0000
Pu 0.3333 0.6667 0.6060
Pu 0.6667 0.3333 0.3940
Zn 0.0000 0.0000 0.5000
Ge 0.1804 0.3607 0.2760
Ge 0.1804 0.8196 0.2760
Ge 0.3607 0.1804 0.7240
Ge 0.6393 0.8196 0.2760
Ge 0.8196 0.1804 0.7240
Ge 0.8196 0.6393 0.7240
Pd 0.3333 0.6667 0.0252
Pd 0.6667 0.3333 0.9748

Principal peaks in the range 5° ≤ 2θ ≤ 70°, in order of rising 2θ:
2θ = 20.7°, I = 41.9
2θ = 27.6°, I = 65.2
2θ = 31.1°, I = 100.0
2θ = 36.5°, I = 32.5
2θ = 37.7°, I = 72.2
2θ = 37.8°, I = 94.6
2θ = 42.1°, I = 56.2
2θ = 46.5°, I = 33.2
2θ = 59.9°, I = 26.1
2θ = 63.7°, I = 28.6
2θ = 64.9°, I = 33.6
2θ = 66.4°, I = 27.4

Entry 7:
This entry pairs a crystal structure of RbGe2Pd4 with its calculated X-ray powder pattern. Radiation: Cu Kα (weighted mean of Kα1 and Kα2). Structure: a GGA-PBE-relaxed structure.

Structure:
a = 18.2824 Å, b = 4.0524 Å, c = 7.5785 Å
α = 90.00°, β = 90.00°, γ = 90.00°
Element x y z (fractional)
Rb 0.1001 0.2500 0.0331
Rb 0.3999 0.7500 0.5331
Rb 0.6001 0.2500 0.4669
Rb 0.8999 0.7500 0.9669
Ge 0.0566 0.7500 0.6735
Ge 0.2458 0.2500 0.5057
Ge 0.2542 0.7500 0.0057
Ge 0.4434 0.2500 0.1735
Ge 0.5566 0.7500 0.8265
Ge 0.7458 0.2500 0.9943
Ge 0.7542 0.7500 0.4943
Ge 0.9434 0.2500 0.3265
Pd 0.0291 0.7500 0.3506
Pd 0.1131 0.2500 0.5086
Pd 0.1984 0.7500 0.6957
Pd 0.2022 0.7500 0.3196
Pd 0.2978 0.2500 0.8196
Pd 0.3016 0.2500 0.1957
Pd 0.3869 0.7500 0.0086
Pd 0.4709 0.2500 0.8506
Pd 0.5291 0.7500 0.1494
Pd 0.6131 0.2500 0.9914
Pd 0.6984 0.7500 0.8043
Pd 0.7022 0.7500 0.1804
Pd 0.7978 0.2500 0.6804
Pd 0.8016 0.2500 0.3043
Pd 0.8869 0.7500 0.4914
Pd 0.9709 0.2500 0.6494

Principal peaks in the range 5° ≤ 2θ ≤ 70°, in order of rising 2θ:
2θ = 12.6°, I = 99.7
2θ = 30.6°, I = 18.8
2θ = 33.8°, I = 98.3
2θ = 35.9°, I = 17.7
2θ = 36.9°, I = 100.0
2θ = 37.9°, I = 18.0
2θ = 42.5°, I = 58.8
2θ = 42.9°, I = 26.2
2θ = 43.5°, I = 16.6
2θ = 44.7°, I = 51.3
2θ = 46.4°, I = 24.4
2θ = 66.4°, I = 16.3

Entry 8:
This entry pairs a crystal structure of GeSbPd with its calculated X-ray powder pattern. Radiation: Cu Kα (weighted mean of Kα1 and Kα2). Structure: a GGA-PBE-relaxed structure.

Structure:
a = 6.6359 Å, b = 6.5380 Å, c = 6.6679 Å
α = 90.00°, β = 119.82°, γ = 90.00°
Element x y z (fractional)
Ge 0.1567 0.1419 0.3227
Ge 0.1567 0.3581 0.8227
Ge 0.8433 0.6419 0.1773
Ge 0.8433 0.8581 0.6773
Sb 0.3393 0.6259 0.1850
Sb 0.3393 0.8741 0.6850
Sb 0.6607 0.1259 0.3150
Sb 0.6607 0.3741 0.8150
Pd 0.2225 0.0062 0.0013
Pd 0.2225 0.4938 0.5013
Pd 0.7775 0.5062 0.4987
Pd 0.7775 0.9938 0.9987

Principal peaks in the range 5° ≤ 2θ ≤ 70°, in order of rising 2θ:
2θ = 20.5°, I = 28.5
2θ = 31.1°, I = 100.0
2θ = 31.4°, I = 97.0
2θ = 33.9°, I = 28.2
2θ = 34.0°, I = 80.9
2θ = 43.8°, I = 42.8
2θ = 43.8°, I = 40.8
2θ = 44.4°, I = 34.9
2θ = 49.3°, I = 44.6
2θ = 50.1°, I = 50.7
2θ = 50.3°, I = 34.1
2θ = 55.4°, I = 23.6